Starting from a cell relaxed with GGA-PBE, the XRD peak list of Na2TlPd2 was simulated for Cu Kα (weighted mean of Kα1 and Kα2).
No peak broadening, texture or thermal motion is included.

```
Na2TlPd2
1.0
5.013 -2.846 0.000
5.013 2.846 0.000
-2.133 0.000 8.004
Na Tl Pd
4 2 4
Direct
0.009 0.294 0.150 Na
0.294 0.009 0.650 Na
0.706 0.991 0.350 Na
0.991 0.706 0.850 Na
0.340 0.660 0.250 Tl
0.660 0.340 0.750 Tl
0.226 0.507 0.497 Pd
0.493 0.774 0.003 Pd
0.507 0.226 0.997 Pd
0.774 0.493 0.503 Pd
```

Principal peaks in the range 2θ = 10–80°, sorted by position:
2theta, I_rel
18.1, 82.5
18.3, 30.5
22.5, 100.0
33.4, 27.4
34.7, 26.9
36.2, 82.9
38.2, 35.4
39.8, 56.1
41.1, 23.3
46.9, 27.0